[1]
For MgFe6O7F5, a crystal structure in the Materials Project, relaxed with PBE+U gives the simulated powder X-ray diffraction pattern in this record (Cu Kα, 1.54184 Å).

Main lines, by angle (2θ = 10–90°):
Position (°2θ), intensity, hkl
17.3, 19, 1 0 0
22.7, 100, 1 1 1
26.1, 81, -1 1 1
35.0, 43, 1 1 -2
35.3, 29, 1 -1 2
48.3, 24, 2 2 -1

Structural model:
```
data_MgFe6O7F5
_cell_length_a 5.184
_cell_length_b 5.985
_cell_length_c 7.869
_cell_angle_alpha 77.94
_cell_angle_beta 85.09
_cell_angle_gamma 82.82
_space_group_name_H-M_alt 'P 1'
_space_group_IT_number 1
_space_group_name_Hall 'P 1'
loop_
_atom_site_label
_atom_site_fract_x
_atom_site_fract_y
_atom_site_fract_z
Mg1 0.000 0.000 0.000
Fe1 0.011 0.487 0.977
Fe2 0.500 0.927 0.952
Fe3 0.551 0.739 0.319
Fe4 0.554 0.371 0.700
Fe5 0.906 0.213 0.350
Fe6 0.937 0.826 0.637
O1 0.284 0.900 0.173
O2 0.288 0.238 0.872
O3 0.670 0.425 0.448
O4 0.752 0.923 0.430
O5 0.764 0.577 0.776
O6 0.767 0.061 0.781
O7 0.768 0.746 0.098
F1 0.154 0.088 0.526
F2 0.167 0.392 0.215
F3 0.222 0.778 0.859
F4 0.266 0.636 0.563
F5 0.778 0.224 0.113
```

=====

[2]
For LiV2O3F3, a crystal structure in the Materials Project, relaxed with PBE+U gives the simulated powder X-ray diffraction pattern in this record (Cu Kα, 1.54184 Å).

Main lines, by angle (2θ = 10–90°):
Position (°2θ), intensity, hkl
23.5, 100, 0 1 2
23.7, 98, 1 0 2
24.4, 97, 1 1 -2
33.5, 21, 0 1 -4
41.0, 21, 2 1 -3
48.0, 22, 0 2 4

Structural model:
```
data_LiV2O3F3
_cell_length_a 5.111
_cell_length_b 5.143
_cell_length_c 13.507
_cell_angle_alpha 88.34
_cell_angle_beta 88.88
_cell_angle_gamma 61.44
_space_group_name_H-M_alt 'P 1'
_space_group_IT_number 1
_space_group_name_Hall 'P 1'
loop_
_atom_site_label
_atom_site_fract_x
_atom_site_fract_y
_atom_site_fract_z
Li1 0.000 0.000 0.000
Li2 0.310 0.337 0.329
Li3 0.660 0.666 0.665
V1 0.314 0.341 0.623
V2 0.381 0.328 0.117
V3 0.601 0.690 0.445
V4 0.657 0.692 0.957
V5 0.942 0.036 0.778
V6 0.959 0.998 0.294
O1 0.036 0.299 0.710
O2 0.315 0.709 0.375
O3 0.372 0.616 0.040
O4 0.536 0.433 0.548
O5 0.592 0.018 0.046
O6 0.628 0.287 0.206
O7 0.654 0.053 0.708
O8 0.678 0.967 0.375
O9 0.884 0.770 0.882
F1 0.054 0.660 0.208
F2 0.233 0.104 0.210
F3 0.273 0.688 0.712
F4 0.283 0.955 0.883
F5 0.362 0.003 0.545
F6 0.711 0.343 0.878
F7 0.935 0.346 0.375
F8 0.938 0.619 0.548
F9 0.981 0.384 0.041
```

=====

Number 2 is which compound? LiV2O3F3